Entry 1:
Starting from a PBE-relaxed structure, the powder diffractogram of Cs2UNb6Cl15O3 was simulated for a wavelength of 1.5418 Å.

Largest 6 diffraction maxima, sorted by position, 10° ≤ 2θ ≤ 90°:
| Position (°2θ) | d (Å) | I (rel.) | hkl |
| --- | --- | --- | --- |
| 18.48 | 4.801 | 67 | 1 0 3 |
| 19.20 | 4.622 | 62 | 1 1 0 |
| 27.67 | 3.224 | 87 | 2 -1 4 |
| 29.52 | 3.026 | 78 | 2 1 0 |
| 33.16 | 2.701 | 100 | 3 -1 3 |
| 35.76 | 2.511 | 92 | 2 1 4 |

Crystal structure
```
data_Cs2UNb6Cl15O3
_space_group_name_H-M_alt 'P -3 1 c'
_space_group_IT_number 163
_space_group_name_Hall '-P 3 2c'
_cell_length_a 9.2432
_cell_length_b 9.2432
_cell_length_c 17.9983
_cell_angle_alpha 90.00
_cell_angle_beta 90.00
_cell_angle_gamma 120.00
loop_
_atom_site_label
_atom_site_type_symbol
_atom_site_fract_x
_atom_site_fract_y
_atom_site_fract_z
Cs1 Cs 0.3333 0.6667 0.0401
U1 U 0.3333 0.6667 0.7500
Nb1 Nb 0.0155 0.1953 0.8147
Cl1 Cl 0.0165 0.2187 0.0922
Cl2 Cl 0.0780 0.4762 0.8781
Cl3 Cl 0.2119 0.4239 0.2500
O1 O 0.1890 0.3781 0.7500
```

---

Entry 2:
Starting from a PBE-relaxed structure, the powder diffractogram of ErTh3Hg12 was simulated for a wavelength of 1.5418 Å.

Largest 6 diffraction maxima, sorted by position, 10° ≤ 2θ ≤ 90°:
| Position (°2θ) | d (Å) | I (rel.) | hkl |
| --- | --- | --- | --- |
| 33.21 | 2.698 | 100 | 1 1 4 |
| 37.61 | 2.391 | 36 | 2 0 0 |
| 40.33 | 2.237 | 14 | 0 0 8 |
| 54.25 | 1.691 | 13 | 2 2 0 |
| 56.32 | 1.633 | 22 | 2 0 8 |
| 65.10 | 1.433 | 30 | 3 1 4 |

Crystal structure
```
data_ErTh3Hg12
_space_group_name_H-M_alt 'P 4/m m m'
_space_group_IT_number 123
_space_group_name_Hall '-P 4 2'
_cell_length_a 4.7828
_cell_length_b 4.7828
_cell_length_c 17.8921
_cell_angle_alpha 90.00
_cell_angle_beta 90.00
_cell_angle_gamma 90.00
loop_
_atom_site_label
_atom_site_type_symbol
_atom_site_fract_x
_atom_site_fract_y
_atom_site_fract_z
Er1 Er 0.0000 0.0000 0.0000
Th1 Th 0.0000 0.0000 0.2449
Th2 Th 0.0000 0.0000 0.5000
Hg1 Hg 0.0000 0.5000 0.1186
Hg2 Hg 0.0000 0.5000 0.3727
Hg3 Hg 0.5000 0.5000 0.0000
Hg4 Hg 0.5000 0.5000 0.2450
Hg5 Hg 0.5000 0.5000 0.5000
```

---

Entry 3:
Starting from a PBE-relaxed structure, the powder diffractogram of BaNa2TlO4 was simulated for a wavelength of 1.5418 Å.

Largest 6 diffraction maxima, sorted by position, 10° ≤ 2θ ≤ 90°:
| Position (°2θ) | d (Å) | I (rel.) | hkl |
| --- | --- | --- | --- |
| 14.74 | 6.009 | 100 | 1 1 0 |
| 29.73 | 3.005 | 58 | 2 2 0 |
| 30.93 | 2.891 | 52 | 2 2 -2 |
| 34.50 | 2.599 | 40 | 0 0 2 |
| 34.64 | 2.590 | 39 | 0 4 0 |
| 36.36 | 2.471 | 33 | 4 0 -2 |

Crystal structure
```
data_BaNa2TlO4
_space_group_name_H-M_alt 'C 1 2/c 1'
_space_group_IT_number 15
_space_group_name_Hall '-C 2yc'
_cell_length_a 9.8998
_cell_length_b 10.3594
_cell_length_c 6.9766
_cell_angle_alpha 90.00
_cell_angle_beta 131.83
_cell_angle_gamma 90.00
loop_
_atom_site_label
_atom_site_type_symbol
_atom_site_fract_x
_atom_site_fract_y
_atom_site_fract_z
Ba1 Ba 0.2500 0.2500 0.0000
Na1 Na 0.0000 0.0000 0.0000
Na2 Na 0.2500 0.2500 0.5000
Tl1 Tl 0.0000 0.5000 0.0000
O1 O 0.0112 0.2451 0.0175
O2 O 0.2126 0.4913 0.4924
```

---

Entry 4:
Starting from a PBE-relaxed structure, the powder diffractogram of K3TmU2Te6 was simulated for a wavelength of 1.5418 Å.

Largest 6 diffraction maxima, sorted by position, 10° ≤ 2θ ≤ 90°:
| Position (°2θ) | d (Å) | I (rel.) | hkl |
| --- | --- | --- | --- |
| 10.68 | 8.283 | 59 | 0 0 1 |
| 27.06 | 3.295 | 100 | 1 3 1 |
| 34.21 | 2.621 | 21 | 1 3 2 |
| 37.05 | 2.427 | 37 | 2 0 2 |
| 40.18 | 2.244 | 37 | 0 6 0 |
| 49.11 | 1.855 | 19 | 4 0 0 |

Crystal structure
```
data_K3TmU2Te6
_space_group_name_H-M_alt 'C 1 2/m 1'
_space_group_IT_number 12
_space_group_name_Hall '-C 2y'
_cell_length_a 7.7743
_cell_length_b 13.4657
_cell_length_c 8.6798
_cell_angle_alpha 90.00
_cell_angle_beta 107.38
_cell_angle_gamma 90.00
loop_
_atom_site_label
_atom_site_type_symbol
_atom_site_fract_x
_atom_site_fract_y
_atom_site_fract_z
K1 K 0.0000 0.0000 0.0000
K2 K 0.0000 0.3319 0.0000
Tm1 Tm 0.0000 0.5000 0.5000
U1 U 0.0000 0.1665 0.5000
Te1 Te 0.2339 0.3361 0.7102
Te2 Te 0.2426 0.0000 0.7106
```